This entry pairs a crystal structure of EuI3O9 with its calculated XRD peak list. Radiation: CuKα. Structure: the GGA-PBE geometry in the Materials Project.

The 10 most intense peaks (15 to 90 degrees two-theta), low angle first:
- 20.48 deg, intensity 21.2, hkl 1 1 1
- 22.66 deg, intensity 45.3, hkl 0 1 3
- 25.61 deg, intensity 100.0, hkl 1 1 -4
- 26.41 deg, intensity 79.5, hkl 2 1 0
- 29.50 deg, intensity 39.6, hkl 1 0 4
- 31.14 deg, intensity 23.8, hkl 1 2 -1
- 31.43 deg, intensity 41.4, hkl 3 0 -4
- 42.61 deg, intensity 19.5, hkl 2 0 -8
- 49.56 deg, intensity 21.7, hkl 0 1 8
- 50.95 deg, intensity 17.4, hkl 3 1 4

Structural model:
```
52
Lattice="8.9475 0.0000 0.0000 0.0000 6.0707 0.0000 -7.1400 0.0000 15.4326" Properties=species:S:1:pos:R:3 pbc="T T T"
Eu 0.5375 1.3980 1.5508
Eu -3.0325 1.6373 9.2671
Eu 4.8400 4.4334 6.1655
Eu 1.2700 4.6727 13.8817
I -1.8950 1.1369 5.4352
I -5.4650 1.8985 13.1515
I -0.5386 3.8739 8.0545
I 3.0314 5.2322 0.3382
I -1.9868 3.5862 12.3783
I 1.5831 5.5199 4.6621
I 0.2244 0.5509 10.7705
I 3.7944 2.4845 3.0542
I -1.2239 0.8385 15.0943
I 2.3461 2.1968 7.3781
I 7.2725 4.1722 2.2811
I 3.7025 4.9338 9.9974
O -4.4482 0.3125 10.7958
O -0.8782 2.7229 3.0795
O -3.9493 3.6747 10.3527
O -0.3793 5.4314 2.6364
O -2.4138 0.6094 7.1119
O -5.9838 2.4259 14.8282
O -2.3218 3.6967 7.5667
O -5.8918 5.4094 15.2830
O -3.2855 3.5681 13.6640
O 0.2845 5.5379 5.9477
O 1.2513 1.1019 3.9459
O -2.3187 1.9334 11.6622
O -3.5700 0.4881 14.5849
O 0.0000 2.5473 6.8686
O -1.2415 0.0133 9.7807
O 2.3285 3.0221 2.0644
O 2.7194 0.1830 1.8278
O -0.8506 2.8523 9.5441
O 2.6581 3.2184 5.8885
O -0.9119 5.8877 13.6048
O -0.5210 3.0486 13.3682
O 3.0490 6.0575 5.6519
O 1.8075 3.5234 8.5640
O 5.3775 5.5826 0.8477
O 4.1262 4.1373 3.7704
O 0.5562 4.9688 11.4867
O 1.5231 0.5328 9.4849
O 5.0931 2.5026 1.7686
O 7.6993 0.6613 0.1496
O 4.1293 2.3740 7.8659
O 7.7914 3.6448 0.6044
O 4.2214 5.4613 8.3207
O 2.1869 0.6393 12.7962
O 5.7569 2.3961 5.0799
O 2.6858 3.3479 12.3531
O 6.2558 5.7582 4.6368
```